Computed powder XRD pattern
Compound: Sr2AlV11O22
Radiation: Cu Ka
Structure: the GGA+U geometry in Alexandria
Peak positions follow from Bragg's law for the DFT cell and can differ from measured ones.

Main lines, most intense first (10° ≤ 2θ ≤ 90°):
(hkl), 2θ/deg, I/Imax
2 1 3, 33.12, 100
4 1 1, 32.07, 100
6 2 2, 54.85, 78
2 2 2, 37.97, 57
3 2 2, 40.96, 56
0 2 6, 62.85, 51
2 2 0, 33.57, 49
0 1 3, 30.22, 46
4 0 2, 31.91, 46
4 0 0, 26.65, 45

Atomic structure:
Lattice parameters (Å, degrees): 13.376 5.822 10.299 90.00 90.00 90.00
Space group Amm2 (No. 38)
Unique sites:
Sr 0.000 0.000 0.000 (multiplicity 2)
Sr 0.500 0.000 0.325 (multiplicity 2)
Al 0.500 0.000 0.992 (multiplicity 2)
V 0.000 0.000 0.326 (multiplicity 2)
V 0.104 0.000 0.658 (multiplicity 4)
V 0.250 0.000 0.159 (multiplicity 4)
V 0.253 0.243 0.908 (multiplicity 8)
V 0.399 0.000 0.658 (multiplicity 4)
O 0.000 0.000 0.511 (multiplicity 2)
O 0.000 0.228 0.728 (multiplicity 4)
O 0.167 0.000 0.321 (multiplicity 4)
O 0.167 0.000 0.833 (multiplicity 4)
O 0.173 0.234 0.070 (multiplicity 8)
O 0.329 0.240 0.242 (multiplicity 8)
O 0.331 0.000 0.476 (multiplicity 4)
O 0.340 0.000 0.998 (multiplicity 4)
O 0.500 0.000 0.819 (multiplicity 2)
O 0.500 0.234 0.581 (multiplicity 4)